Simulated powder diffraction line list of Na3Ni4As4 for Cu Kα, from a crystal structure in Alexandria, relaxed with GGA-PBE.
Intensities are scaled so that the largest is 100.

Structure:
```
data_Na3Ni4As4
_chemical_formula_sum 'Na3 Ni4 As4'
_cell_length_a 6.3089
_cell_length_b 6.3089
_cell_length_c 6.3089
_cell_angle_alpha 109.47
_cell_angle_beta 109.47
_cell_angle_gamma 109.47
_symmetry_space_group_name_H-M 'P 1'
_symmetry_Int_Tables_number 1
loop_
_symmetry_equiv_pos_as_xyz
'x,y,z'
loop_
_atom_site_label
_atom_site_fract_x
_atom_site_fract_y
_atom_site_fract_z
Na1 0.0000 0.5000 0.5000
Na2 0.5000 0.0000 0.5000
Na3 0.5000 0.5000 0.0000
Ni1 0.0000 0.0000 0.7340
Ni2 0.0000 0.7340 0.0000
Ni3 0.2660 0.2660 0.2660
Ni4 0.7340 0.0000 0.0000
As1 0.0000 0.0000 0.3735
As2 0.0000 0.3735 0.0000
As3 0.3735 0.0000 0.0000
As4 0.6265 0.6265 0.6265
```

Top 10 peaks for 15 to 90 degrees two-theta, in order of rising 2θ:
2θ (°), intensity
17.21, 100
24.44, 32
30.05, 18
34.83, 46
39.10, 97
46.65, 61
53.36, 80
59.52, 20
81.44, 28
89.17, 17